This entry pairs a crystal structure of HgI4N2 with its calculated powder diffractogram. Radiation: Cu Kα (weighted mean of Kα1 and Kα2). Structure: a PBE-relaxed structure.

Structural model:
```
data_HgI4N2
_chemical_formula_sum 'Hg1 I4 N2'
_symmetry_space_group_name_H-M 'P -1'
_symmetry_Int_Tables_number 2
_cell_length_a 4.121
_cell_length_b 4.860
_cell_length_c 12.608
_cell_angle_alpha 82.85
_cell_angle_beta 83.90
_cell_angle_gamma 87.24
loop_
_symmetry_equiv_pos_as_xyz
'x,y,z'
'-x,-y,-z'
loop_
_atom_site_label
_atom_site_fract_x
_atom_site_fract_y
_atom_site_fract_z
_atom_site_occupancy
Hg1 0.000 0.000 0.000 1
I1 0.254 0.220 0.153 1
I2 0.275 0.342 0.608 1
N1 0.351 0.431 0.397 1
```

Principal peaks in the range 2θ from 10° to 90°, most intense first:
2θ/deg  intensity  h k l
29.10  100  1 -1 0
24.69  84  0 1 -2
27.25  83  1 0 -2
20.55  75  0 1 -1
18.93  37  0 1 1
37.12  36  1 1 4
47.03  33  1 -1 5
38.34  31  1 1 -3

This entry pairs a crystal structure of Na4Er3AlTe8 with its calculated powder diffractogram. Radiation: Cu Kα (weighted mean of Kα1 and Kα2). Structure: a PBE-relaxed structure.

Structural model:
```
data_Na4Er3AlTe8
_chemical_formula_sum 'Na12 Er9 Al3 Te24'
_symmetry_space_group_name_H-M 'R -3 m'
_symmetry_Int_Tables_number 166
_symmetry_space_group_name_Hall '-R 3 2"'
_cell_length_a 8.6873
_cell_length_b 8.6873
_cell_length_c 22.6806
_cell_angle_alpha 90.00
_cell_angle_beta 90.00
_cell_angle_gamma 120.00
loop_
_atom_site_label
_atom_site_fract_x
_atom_site_fract_y
_atom_site_fract_z
_atom_site_occupancy
Na1 0.0000 0.0000 0.0000 1
Na2 0.0000 0.5000 0.0000 1
Er1 0.0000 0.5000 0.5000 1
Al1 0.0000 0.0000 0.5000 1
Te1 0.0000 0.0000 0.2439 1
Te2 0.0179 0.5090 0.2403 1
```

Principal peaks in the range 2θ from 10° to 90°, most intense first:
2θ/deg  intensity  h k l
28.47  100  0 2 4
39.81  37  2 0 8
41.58  37  2 2 0
11.71  36  0 0 3
51.17  19  4 0 4
67.97  15  2 4 4
65.46  14  2 2 12
36.60  13  0 2 7

Please write out number 1 again, unchanged.
This entry pairs a crystal structure of HgI4N2 with its calculated powder diffractogram. Radiation: Cu Kα (weighted mean of Kα1 and Kα2). Structure: a PBE-relaxed structure.

Structural model:
```
data_HgI4N2
_chemical_formula_sum 'Hg1 I4 N2'
_symmetry_space_group_name_H-M 'P -1'
_symmetry_Int_Tables_number 2
_cell_length_a 4.121
_cell_length_b 4.860
_cell_length_c 12.608
_cell_angle_alpha 82.85
_cell_angle_beta 83.90
_cell_angle_gamma 87.24
loop_
_symmetry_equiv_pos_as_xyz
'x,y,z'
'-x,-y,-z'
loop_
_atom_site_label
_atom_site_fract_x
_atom_site_fract_y
_atom_site_fract_z
_atom_site_occupancy
Hg1 0.000 0.000 0.000 1
I1 0.254 0.220 0.153 1
I2 0.275 0.342 0.608 1
N1 0.351 0.431 0.397 1
```

Principal peaks in the range 2θ from 10° to 90°, most intense first:
2θ/deg  intensity  h k l
29.10  100  1 -1 0
24.69  84  0 1 -2
27.25  83  1 0 -2
20.55  75  0 1 -1
18.93  37  0 1 1
37.12  36  1 1 4
47.03  33  1 -1 5
38.34  31  1 1 -3